Theoretical X-ray diffraction stick pattern of AcLa5Y6 for Cu Kα (weighted mean of Kα1 and Kα2), from a GGA-PBE-relaxed structure.
Peak positions follow from Bragg's law for the DFT cell and can differ from measured ones.

Cell and atoms:
Cell: 6.4029 11.0855 11.9841 Å, 90.00 100.25 90.00°
Space group C2/m (No. 12)
Symmetry-distinct sites (fractional):
Ac 0.0000 0.0000 0.0000
La 0.0000 0.1667 0.5000
La 0.0000 0.3333 0.0000
La 0.0000 0.5000 0.5000
Y 0.2489 0.3325 0.7484
Y 0.2487 0.5000 0.2515

Most intense lines, 10 to 90 degrees two-theta, in order of falling intensity:
2theta  d/Å  I/Imax  hkl
29.68  3.010  100.0  1 3 1
34.59  2.593  66.4  2 0 2
30.32  2.948  31.5  0 0 4
58.99  1.566  28.1  3 3 3
49.31  1.848  24.2  0 6 0
50.14  1.819  23.0  1 3 5
58.62  1.575  14.3  4 0 0
59.73  1.548  13.5  2 0 6
61.63  1.505  12.3  2 6 2
80.06  1.199  11.5  4 6 0